# 1
Computed PXRD pattern of Er4PdRu2 for Cu Kα (weighted mean of Kα1 and Kα2), from a DFT-relaxed cell (PBE, Alexandria).
No peak broadening, texture or thermal motion is included.

Top 10 peaks for 2θ = 10–90°, in order of rising 2θ:
2θ/deg, intensity
26.17, 8
26.38, 15
37.50, 100
37.66, 49
46.43, 7
53.84, 9
54.31, 17
67.56, 18
67.87, 35
80.01, 11

Structure:
```
data_Er4PdRu2
_chemical_formula_sum 'Er4 Pd1 Ru2'
_space_group_name_H-M_alt 'P 1'
_space_group_IT_number 1
_cell_length_a 4.7775
_cell_length_b 4.7775
_cell_length_c 6.8115
_cell_angle_alpha 90.00
_cell_angle_beta 90.00
_cell_angle_gamma 90.00
loop_
_space_group_symop_operation_xyz
'x,y,z'
loop_
_atom_site_label
_atom_site_fract_x
_atom_site_fract_y
_atom_site_fract_z
_atom_site_occupancy
Er1 0.0000 0.5000 0.2471 1
Er2 0.0000 0.5000 0.7529 1
Er3 0.5000 0.0000 0.2471 1
Er4 0.5000 0.0000 0.7529 1
Pd1 0.0000 0.0000 0.5000 1
Ru1 0.0000 0.0000 0.0000 1
Ru2 0.5000 0.5000 0.5000 1
```


# 2
Computed PXRD pattern of SrZn11Cu for Cu Kα (weighted mean of Kα1 and Kα2), from a DFT-relaxed cell (PBE, Alexandria).
No peak broadening, texture or thermal motion is included.

Top 10 peaks for 2θ = 10–90°, in order of rising 2θ:
2θ/deg, intensity
34.20, 19
39.59, 100
39.84, 71
40.16, 41
40.41, 36
44.46, 25
44.58, 26
44.82, 32
45.16, 35
72.03, 23

Structure:
```
data_SrZn11Cu
_chemical_formula_sum 'Sr1 Zn11 Cu1'
_space_group_name_H-M_alt 'P 1'
_space_group_IT_number 1
_cell_length_a 6.9230
_cell_length_b 6.9230
_cell_length_c 6.9184
_cell_angle_alpha 97.74
_cell_angle_beta 97.74
_cell_angle_gamma 136.40
loop_
_space_group_symop_operation_xyz
'x,y,z'
loop_
_atom_site_label
_atom_site_fract_x
_atom_site_fract_y
_atom_site_fract_z
_atom_site_occupancy
Sr1 0.0000 0.0000 0.0000 1
Zn1 0.0000 0.0000 0.5000 1
Zn2 0.0000 0.5000 0.0000 1
Zn3 0.0091 0.3608 0.3590 1
Zn4 0.2766 0.5027 0.7684 1
Zn5 0.3608 0.0091 0.3590 1
Zn6 0.4973 0.7234 0.2316 1
Zn7 0.5000 0.0000 0.0000 1
Zn8 0.5027 0.2766 0.7684 1
Zn9 0.6392 0.9909 0.6410 1
Zn10 0.7234 0.4973 0.2316 1
Zn11 0.9909 0.6392 0.6410 1
Cu1 0.5000 0.5000 0.5000 1
```


# 3
Computed PXRD pattern of KTaP2O8 for Cu Kα (weighted mean of Kα1 and Kα2), from a DFT-relaxed cell (PBE, Alexandria).
No peak broadening, texture or thermal motion is included.

Top 10 peaks for 2θ = 10–90°, in order of rising 2θ:
2θ/deg, intensity
10.67, 100
19.65, 39
20.33, 25
21.43, 12
22.26, 55
23.31, 30
29.00, 42
29.47, 27
33.97, 14
35.20, 25

Structure:
```
data_KTaP2O8
_chemical_formula_sum 'K1 Ta1 P2 O8'
_space_group_name_H-M_alt 'P 1'
_space_group_IT_number 1
_cell_length_a 5.1047
_cell_length_b 5.1047
_cell_length_c 8.2969
_cell_angle_alpha 91.50
_cell_angle_beta 91.50
_cell_angle_gamma 62.27
loop_
_space_group_symop_operation_xyz
'x,y,z'
loop_
_atom_site_label
_atom_site_fract_x
_atom_site_fract_y
_atom_site_fract_z
_atom_site_occupancy
K1 0.0000 0.0000 0.0000 1
Ta1 0.0000 0.0000 0.5000 1
P1 0.3512 0.3512 0.7089 1
P2 0.6488 0.6488 0.2911 1
O1 0.2099 0.2099 0.5871 1
O2 0.2120 0.6855 0.6614 1
O3 0.3106 0.3106 0.8816 1
O4 0.3145 0.7880 0.3386 1
O5 0.6855 0.2120 0.6614 1
O6 0.6894 0.6894 0.1184 1
O7 0.7880 0.3145 0.3386 1
O8 0.7901 0.7901 0.4129 1
```


# 4
Computed PXRD pattern of Mg8TlPt2 for Cu Kα (weighted mean of Kα1 and Kα2), from a DFT-relaxed cell (PBE, Alexandria).
No peak broadening, texture or thermal motion is included.

Top 10 peaks for 2θ = 10–90°, in order of rising 2θ:
2θ/deg, intensity
21.80, 60
23.04, 53
23.68, 100
25.56, 37
27.24, 61
36.92, 62
38.46, 40
40.44, 29
43.95, 36
47.06, 24

Structure:
```
data_Mg8TlPt2
_chemical_formula_sum 'Mg8 Tl1 Pt2'
_space_group_name_H-M_alt 'P 1'
_space_group_IT_number 1
_cell_length_a 4.4614
_cell_length_b 6.9821
_cell_length_c 8.1608
_cell_angle_alpha 112.10
_cell_angle_beta 105.76
_cell_angle_gamma 90.02
loop_
_space_group_symop_operation_xyz
'x,y,z'
loop_
_atom_site_label
_atom_site_fract_x
_atom_site_fract_y
_atom_site_fract_z
_atom_site_occupancy
Mg1 0.0000 0.0000 0.0000 1
Mg2 0.0582 0.4792 0.1196 1
Mg3 0.2189 0.0294 0.4399 1
Mg4 0.3504 0.8057 0.7010 1
Mg5 0.4204 0.2723 0.8429 1
Mg6 0.6382 0.2097 0.2759 1
Mg7 0.7095 0.6762 0.4191 1
Mg8 0.8374 0.4513 0.6789 1
Tl1 0.5290 0.7405 0.0602 1
Pt1 0.2165 0.4193 0.4337 1
Pt2 0.8428 0.0623 0.6869 1
```